The following is a computed powder X-ray diffraction pattern of HoMg7. It was derived from the GGA-PBE geometry in Alexandria, using Cu Kα.

Largest 10 diffraction maxima, sorted by position, 5 to 70 degrees two-theta:
hkl 0 0 2, 2θ 9.64, d 9.179, rel. 66
hkl 1 0 1, 2θ 19.98, d 4.443, rel. 60
hkl 1 0 3, 2θ 24.28, d 3.666, rel. 35
hkl 0 0 6, 2θ 29.23, d 3.055, rel. 32
hkl 1 0 5, 2θ 31.22, d 2.865, rel. 22
hkl 1 1 4, 2θ 33.88, d 2.646, rel. 100
hkl 2 0 0, 2θ 39.32, d 2.291, rel. 49
hkl 2 0 2, 2θ 40.59, d 2.223, rel. 17
hkl 2 2 0, 2θ 56.82, d 1.620, rel. 33
hkl 3 1 4, 2θ 67.87, d 1.381, rel. 25

Atomic structure:
```
HoMg7
1.0
4.580 0.000 0.000
0.000 4.580 0.000
0.000 0.000 18.357
Ho Mg
2 14
direct
0.000 0.000 0.000
0.500 0.500 0.500
0.000 0.000 0.245
0.000 0.000 0.500
0.000 0.000 0.755
0.000 0.500 0.128
0.000 0.500 0.372
0.000 0.500 0.628
0.000 0.500 0.872
0.500 0.000 0.128
0.500 0.000 0.372
0.500 0.000 0.628
0.500 0.000 0.872
0.500 0.500 0.000
0.500 0.500 0.255
0.500 0.500 0.745
```